Na2CdAgCl6: simulated X-ray diffraction stick pattern (λ = 1.5418 Å (Cu Kα)), based on the PBE geometry in Alexandria.
Peak positions follow from Bragg's law for the DFT cell and can differ from measured ones.

Most intense lines, 2θ from 5° to 70°, low angle first:
- 2θ 16.8, rel. 59
- 2θ 18.0, rel. 100
- 2θ 23.4, rel. 32
- 2θ 24.7, rel. 20
- 2θ 24.8, rel. 40
- 2θ 36.5, rel. 31
- 2θ 38.7, rel. 22
- 2θ 40.0, rel. 33
- 2θ 40.4, rel. 19
- 2θ 44.9, rel. 28

Crystal structure
Lattice parameters (Å, degrees): 6.777 6.881 7.199 62.32 89.56 63.67
Fractional positions:
Na 0.000 0.000 0.000
Na 0.491 0.013 0.504
Cd 0.696 0.597 0.104
Ag 0.191 0.602 0.593
Cl 0.085 0.487 0.338
Cl 0.302 0.746 0.814
Cl 0.410 0.760 0.330
Cl 0.593 0.053 0.855
Cl 0.789 0.147 0.294
Cl 0.926 0.496 0.805

ZnTcBr2: simulated X-ray diffraction stick pattern (λ = 1.5418 Å (Cu Kα)), based on the PBE geometry in Alexandria.
Peak positions follow from Bragg's law for the DFT cell and can differ from measured ones.

Most intense lines, 2θ from 5° to 70°, low angle first:
- 2θ 10.5, rel. 100
- 2θ 28.2, rel. 51
- 2θ 31.8, rel. 15
- 2θ 32.8, rel. 23
- 2θ 33.7, rel. 25
- 2θ 37.3, rel. 21
- 2θ 39.6, rel. 12
- 2θ 46.1, rel. 27
- 2θ 48.3, rel. 12
- 2θ 49.2, rel. 15

Crystal structure
Lattice parameters (Å, degrees): 6.383 3.701 8.783 90.00 106.07 90.00
Fractional positions:
Zn 0.029 0.250 0.401
Zn 0.971 0.750 0.599
Tc 0.386 0.750 0.504
Tc 0.614 0.250 0.496
Br 0.166 0.750 0.214
Br 0.362 0.750 0.783
Br 0.638 0.250 0.217
Br 0.834 0.250 0.786

Li2TiP5O15: simulated X-ray diffraction stick pattern (λ = 1.5418 Å (Cu Kα)), based on the PBE geometry in Alexandria.
Peak positions follow from Bragg's law for the DFT cell and can differ from measured ones.

Most intense lines, 2θ from 5° to 70°, low angle first:
- 2θ 10.3, rel. 42
- 2θ 12.1, rel. 69
- 2θ 16.4, rel. 59
- 2θ 18.1, rel. 100
- 2θ 20.8, rel. 76
- 2θ 21.4, rel. 49
- 2θ 21.7, rel. 51
- 2θ 25.3, rel. 58
- 2θ 25.7, rel. 46
- 2θ 31.4, rel. 50

Crystal structure
Lattice parameters (Å, degrees): 5.281 13.987 8.746 90.00 101.88 90.00
Fractional positions:
Li 0.173 0.145 0.111
Li 0.173 0.355 0.111
Li 0.827 0.645 0.889
Li 0.827 0.855 0.889
Ti 0.500 0.000 0.500
Ti 0.500 0.500 0.500
P 0.014 0.143 0.522
P 0.014 0.357 0.522
P 0.362 0.086 0.823
P 0.362 0.414 0.823
P 0.369 0.750 0.000
P 0.631 0.250 0.000
P 0.638 0.586 0.177
P 0.638 0.914 0.177
P 0.986 0.643 0.478
P 0.986 0.857 0.478
O 0.024 0.250 0.460
O 0.091 0.750 0.918
O 0.157 0.151 0.700
O 0.157 0.349 0.700
O 0.167 0.083 0.428
O 0.167 0.417 0.428
O 0.234 0.058 0.952
O 0.234 0.442 0.952
O 0.266 0.616 0.486
O 0.266 0.884 0.486
O 0.406 0.661 0.121
O 0.406 0.839 0.121
O 0.424 0.250 0.095
O 0.469 0.011 0.728
O 0.469 0.489 0.728
O 0.531 0.511 0.272
O 0.531 0.989 0.272
O 0.576 0.750 0.905
O 0.594 0.161 0.879
O 0.594 0.339 0.879
O 0.734 0.116 0.514
O 0.734 0.384 0.514
O 0.766 0.558 0.048
O 0.766 0.942 0.048
O 0.833 0.583 0.572
O 0.833 0.917 0.572
O 0.843 0.651 0.300
O 0.843 0.849 0.300
O 0.909 0.250 0.082
O 0.976 0.750 0.540

Li3Ho2Ga4: simulated X-ray diffraction stick pattern (λ = 1.5418 Å (Cu Kα)), based on the PBE geometry in Alexandria.
Peak positions follow from Bragg's law for the DFT cell and can differ from measured ones.

Most intense lines, 2θ from 5° to 70°, low angle first:
- 2θ 11.0, rel. 53
- 2θ 20.3, rel. 60
- 2θ 22.2, rel. 96
- 2θ 29.0, rel. 42
- 2θ 33.2, rel. 92
- 2θ 34.2, rel. 100
- 2θ 35.4, rel. 83
- 2θ 37.8, rel. 70
- 2θ 38.7, rel. 40
- 2θ 39.6, rel. 54

Crystal structure
Lattice parameters (Å, degrees): 8.509 8.509 7.484 90.00 90.00 140.69
Fractional positions:
Li 0.000 0.000 0.000
Li 0.015 0.485 0.250
Li 0.485 0.015 0.750
Li 0.500 0.500 0.500
Li 0.515 0.985 0.250
Li 0.985 0.515 0.750
Ho 0.100 0.900 0.400
Ho 0.400 0.600 0.900
Ho 0.600 0.400 0.100
Ho 0.900 0.100 0.600
Ga 0.162 0.838 0.010
Ga 0.181 0.319 0.250
Ga 0.319 0.181 0.750
Ga 0.338 0.662 0.510
Ga 0.662 0.338 0.490
Ga 0.681 0.819 0.250
Ga 0.819 0.681 0.750
Ga 0.838 0.162 0.990

PaH2Br3: simulated X-ray diffraction stick pattern (λ = 1.5418 Å (Cu Kα)), based on the PBE geometry in Alexandria.
Peak positions follow from Bragg's law for the DFT cell and can differ from measured ones.

Most intense lines, 2θ from 5° to 70°, low angle first:
- 2θ 12.4, rel. 100
- 2θ 28.0, rel. 19
- 2θ 28.3, rel. 12
- 2θ 33.1, rel. 16
- 2θ 33.5, rel. 25
- 2θ 35.8, rel. 26
- 2θ 42.1, rel. 11
- 2θ 43.8, rel. 14
- 2θ 45.7, rel. 8
- 2θ 45.9, rel. 10

Crystal structure
Lattice parameters (Å, degrees): 8.274 8.274 7.025 90.00 90.00 120.00
Fractional positions:
Pa 0.000 0.000 0.000
Pa 0.000 0.000 0.500
H 0.333 0.667 0.038
H 0.333 0.667 0.462
H 0.667 0.333 0.538
H 0.667 0.333 0.962
Br 0.162 0.323 0.750
Br 0.162 0.838 0.750
Br 0.323 0.162 0.250
Br 0.677 0.838 0.750
Br 0.838 0.162 0.250
Br 0.838 0.677 0.250

Y3ErIn3: simulated X-ray diffraction stick pattern (λ = 1.5418 Å (Cu Kα)), based on the PBE geometry in Alexandria.
Peak positions follow from Bragg's law for the DFT cell and can differ from measured ones.

Most intense lines, 2θ from 5° to 70°, low angle first:
- 2θ 23.4, rel. 6
- 2θ 30.4, rel. 100
- 2θ 36.1, rel. 71
- 2θ 43.5, rel. 14
- 2θ 45.7, rel. 10
- 2θ 47.9, rel. 16
- 2θ 49.9, rel. 18
- 2θ 61.4, rel. 26
- 2θ 63.2, rel. 11
- 2θ 64.9, rel. 14

Crystal structure
Lattice parameters (Å, degrees): 9.310 9.310 9.310 90.00 90.00 90.00
Fractional positions:
Y 0.071 0.429 0.571
Y 0.176 0.176 0.176
Y 0.176 0.824 0.324
Y 0.324 0.176 0.824
Y 0.324 0.824 0.676
Y 0.429 0.571 0.071
Y 0.571 0.071 0.429
Y 0.676 0.324 0.824
Y 0.676 0.676 0.676
Y 0.824 0.324 0.176
Y 0.824 0.676 0.324
Y 0.929 0.929 0.929
Er 0.078 0.578 0.922
Er 0.422 0.422 0.422
Er 0.578 0.922 0.078
Er 0.922 0.078 0.578
In 0.001 0.255 0.875
In 0.125 0.501 0.245
In 0.245 0.125 0.501
In 0.255 0.875 0.001
In 0.375 0.499 0.745
In 0.499 0.745 0.375
In 0.501 0.245 0.125
In 0.625 0.999 0.755
In 0.745 0.375 0.499
In 0.755 0.625 0.999
In 0.875 0.001 0.255
In 0.999 0.755 0.625

Mn3B4W3: simulated X-ray diffraction stick pattern (λ = 1.5418 Å (Cu Kα)), based on the PBE geometry in Alexandria.
Peak positions follow from Bragg's law for the DFT cell and can differ from measured ones.

Most intense lines, 2θ from 5° to 70°, low angle first:
- 2θ 15.5, rel. 33
- 2θ 28.2, rel. 65
- 2θ 31.4, rel. 34
- 2θ 35.0, rel. 76
- 2θ 35.3, rel. 49
- 2θ 36.2, rel. 39
- 2θ 42.7, rel. 100
- 2θ 45.6, rel. 85
- 2θ 45.8, rel. 58
- 2θ 50.8, rel. 25

Crystal structure
Lattice parameters (Å, degrees): 3.160 5.707 5.707 90.60 90.00 90.00
Fractional positions:
Mn 0.000 0.000 0.000
Mn 0.500 0.177 0.683
Mn 0.500 0.683 0.177
B 0.500 0.057 0.281
B 0.500 0.281 0.057
B 0.500 0.565 0.565
B 0.500 0.802 0.802
W 0.000 0.353 0.353
W 0.000 0.503 0.860
W 0.000 0.860 0.503

La2Cu3Ni12Pd: simulated X-ray diffraction stick pattern (λ = 1.5418 Å (Cu Kα)), based on the PBE geometry in Alexandria.
Peak positions follow from Bragg's law for the DFT cell and can differ from measured ones.

Most intense lines, 2θ from 5° to 70°, low angle first:
- 2θ 31.4, rel. 100
- 2θ 35.1, rel. 33
- 2θ 36.2, rel. 31
- 2θ 37.1, rel. 46
- 2θ 38.4, rel. 36
- 2θ 41.6, rel. 73
- 2θ 44.4, rel. 80
- 2θ 52.4, rel. 28
- 2θ 53.7, rel. 48
- 2θ 61.6, rel. 40

Crystal structure
Lattice parameters (Å, degrees): 9.413 9.413 9.413 37.34 37.34 37.34
Fractional positions:
La 0.141 0.141 0.141
La 0.859 0.859 0.859
Cu 0.000 0.500 0.500
Cu 0.500 0.000 0.500
Cu 0.500 0.500 0.000
Ni 0.055 0.620 0.620
Ni 0.083 0.083 0.702
Ni 0.083 0.702 0.083
Ni 0.298 0.917 0.917
Ni 0.380 0.380 0.945
Ni 0.380 0.945 0.380
Ni 0.620 0.055 0.620
Ni 0.620 0.620 0.055
Ni 0.702 0.083 0.083
Ni 0.917 0.298 0.917
Ni 0.917 0.917 0.298
Ni 0.945 0.380 0.380
Pd 0.500 0.500 0.500

PrScCu2Si2: simulated X-ray diffraction stick pattern (λ = 1.5418 Å (Cu Kα)), based on the PBE geometry in Alexandria.
Peak positions follow from Bragg's law for the DFT cell and can differ from measured ones.

Most intense lines, 2θ from 5° to 70°, low angle first:
- 2θ 24.6, rel. 14
- 2θ 27.6, rel. 51
- 2θ 35.2, rel. 100
- 2θ 37.4, rel. 12
- 2θ 43.4, rel. 54
- 2θ 52.2, rel. 9
- 2θ 57.0, rel. 24
- 2θ 57.1, rel. 10
- 2θ 58.6, rel. 19
- 2θ 68.8, rel. 11

Crystal structure
Lattice parameters (Å, degrees): 4.174 4.174 7.208 90.00 90.00 120.00
Fractional positions:
Pr 0.000 0.000 0.000
Sc 0.000 0.000 0.500
Cu 0.333 0.667 0.692
Cu 0.667 0.333 0.308
Si 0.333 0.667 0.281
Si 0.667 0.333 0.719

CrMo2Os: simulated X-ray diffraction stick pattern (λ = 1.5418 Å (Cu Kα)), based on the PBE geometry in Alexandria.
Peak positions follow from Bragg's law for the DFT cell and can differ from measured ones.

Most intense lines, 2θ from 5° to 70°, low angle first:
- 2θ 15.9, rel. 24
- 2θ 23.1, rel. 19
- 2θ 28.2, rel. 14
- 2θ 40.0, rel. 100
- 2θ 40.4, rel. 98
- 2θ 46.5, rel. 64
- 2θ 47.2, rel. 31
- 2θ 67.3, rel. 10
- 2θ 68.4, rel. 40
- 2θ 68.6, rel. 10

Crystal structure
Lattice parameters (Å, degrees): 2.737 3.851 5.567 90.00 90.00 90.00
Fractional positions:
Cr 0.000 0.000 0.000
Mo 0.000 0.000 0.517
Mo 0.500 0.500 0.243
Os 0.500 0.500 0.768

CsCuBr3: simulated X-ray diffraction stick pattern (λ = 1.5418 Å (Cu Kα)), based on the PBE geometry in Alexandria.
Peak positions follow from Bragg's law for the DFT cell and can differ from measured ones.

Most intense lines, 2θ from 5° to 70°, low angle first:
- 2θ 23.4, rel. 20
- 2θ 24.3, rel. 20
- 2θ 27.1, rel. 33
- 2θ 27.4, rel. 27
- 2θ 29.9, rel. 100
- 2θ 30.6, rel. 18
- 2θ 33.6, rel. 30
- 2θ 34.2, rel. 18
- 2θ 47.8, rel. 18
- 2θ 49.7, rel. 22

Crystal structure
Lattice parameters (Å, degrees): 7.622 7.622 13.132 90.00 90.00 118.10
Fractional positions:
Cs 0.182 0.818 0.750
Cs 0.478 0.478 0.500
Cs 0.522 0.522 0.000
Cs 0.818 0.182 0.250
Cu 0.133 0.834 0.379
Cu 0.166 0.867 0.121
Cu 0.834 0.133 0.621
Cu 0.867 0.166 0.879
Br 0.015 0.015 0.000
Br 0.040 0.580 0.015
Br 0.173 0.312 0.787
Br 0.293 0.707 0.250
Br 0.312 0.173 0.213
Br 0.420 0.960 0.485
Br 0.580 0.040 0.985
Br 0.688 0.827 0.713
Br 0.707 0.293 0.750
Br 0.827 0.688 0.287
Br 0.960 0.420 0.515
Br 0.985 0.985 0.500

SmI2F: simulated X-ray diffraction stick pattern (λ = 1.5418 Å (Cu Kα)), based on the PBE geometry in Alexandria.
Peak positions follow from Bragg's law for the DFT cell and can differ from measured ones.

Most intense lines, 2θ from 5° to 70°, low angle first:
- 2θ 11.1, rel. 41
- 2θ 20.5, rel. 100
- 2θ 26.1, rel. 99
- 2θ 30.3, rel. 24
- 2θ 34.6, rel. 23
- 2θ 36.2, rel. 75
- 2θ 40.1, rel. 18
- 2θ 44.7, rel. 22
- 2θ 45.6, rel. 35
- 2θ 48.4, rel. 34

Crystal structure
Lattice parameters (Å, degrees): 8.565 8.565 8.565 149.72 149.54 43.48
Fractional positions:
Sm 0.000 0.000 0.000
I 0.136 0.636 0.500
I 0.864 0.364 0.500
F 0.500 0.000 0.500